# Ba2Ag2AsP
Theoretical powder diffractogram, Cu Kα, 1.54184 Å. Input: a DFT-relaxed cell (GGA-PBE, OQMD).
Intensities are scaled so that the largest is 100.

Lattice parameters (Å, degrees): 4.5987 4.5987 9.0535 90.00 90.00 120.00
Element x y z (fractional)
1 Ba 0.0000 0.0000 0.2463
2 Ba 0.0000 0.0000 0.7537
3 Ag 0.3333 0.6667 0.5000
4 Ag 0.6667 0.3333 0.0000
5 As 0.6667 0.3333 0.5000
6 P 0.3333 0.6667 0.0000

Peak list (6 most intense, 15° ≤ 2θ ≤ 90°, sorted by position)
| 2θ (°) | d_spacing | I (rel.) |
| --- | --- | --- |
| 29.88 | 2.990 | 100 |
| 39.18 | 2.299 | 45 |
| 39.83 | 2.263 | 14 |
| 50.04 | 1.823 | 23 |
| 57.10 | 1.613 | 29 |
| 65.33 | 1.428 | 21 |

# BaAg2SbAs
Theoretical powder diffractogram, Cu Kα, 1.54184 Å. Input: a DFT-relaxed cell (GGA-PBE, OQMD).
Intensities are scaled so that the largest is 100.

Lattice parameters (Å, degrees): 4.8029 4.8029 11.0498 90.00 90.00 90.00
Element x y z (fractional)
1 Ba 0.2500 0.2500 0.2379
2 Ba 0.7500 0.7500 0.7621
3 Ag 0.2500 0.2500 0.8896
4 Ag 0.2500 0.7500 0.5000
5 Ag 0.7500 0.2500 0.5000
6 Ag 0.7500 0.7500 0.1104
7 Sb 0.2500 0.2500 0.6391
8 Sb 0.7500 0.7500 0.3609
9 As 0.2500 0.7500 0.0000
10 As 0.7500 0.2500 0.0000

Peak list (6 most intense, 15° ≤ 2θ ≤ 90°, sorted by position)
| 2θ (°) | d_spacing | I (rel.) |
| --- | --- | --- |
| 30.59 | 2.923 | 82 |
| 30.91 | 2.893 | 100 |
| 37.45 | 2.401 | 89 |
| 42.17 | 2.143 | 33 |
| 49.10 | 1.855 | 43 |
| 54.01 | 1.698 | 36 |

# BaAg2SnAs
Theoretical powder diffractogram, Cu Kα, 1.54184 Å. Input: a DFT-relaxed cell (GGA-PBE, OQMD).
Intensities are scaled so that the largest is 100.

Lattice parameters (Å, degrees): 6.6490 6.6490 6.6490 138.42 138.42 60.27
Element x y z (fractional)
1 Ba 0.0000 0.0000 0.0000
2 Ag 0.2407 0.7407 0.5000
3 Ag 0.7407 0.2407 0.5000
4 Sn 0.3716 0.3716 0.0000
5 As 0.6079 0.6079 0.0000

Peak list (6 most intense, 15° ≤ 2θ ≤ 90°, sorted by position)
| 2θ (°) | d_spacing | I (rel.) |
| --- | --- | --- |
| 30.03 | 2.976 | 51 |
| 30.98 | 2.887 | 100 |
| 38.13 | 2.360 | 63 |
| 41.44 | 2.179 | 30 |
| 49.28 | 1.849 | 26 |
| 64.50 | 1.445 | 25 |

# BeCuAgAs
Theoretical powder diffractogram, Cu Kα, 1.54184 Å. Input: a DFT-relaxed cell (GGA-PBE, OQMD).
Intensities are scaled so that the largest is 100.

Lattice parameters (Å, degrees): 4.3428 4.3428 4.3428 60.00 60.00 60.00
Element x y z (fractional)
1 Be 0.0000 0.0000 0.0000
2 Cu 0.5000 0.5000 0.5000
3 Ag 0.7500 0.7500 0.7500
4 As 0.2500 0.2500 0.2500

Peak list (6 most intense, 15° ≤ 2θ ≤ 90°, sorted by position)
| 2θ (°) | d_spacing | I (rel.) |
| --- | --- | --- |
| 25.11 | 3.546 | 19 |
| 29.08 | 3.071 | 25 |
| 41.59 | 2.171 | 100 |
| 49.20 | 1.852 | 9 |
| 60.28 | 1.535 | 16 |
| 75.89 | 1.254 | 31 |

# NdGdAg2Bi2As2
Theoretical powder diffractogram, Cu Kα, 1.54184 Å. Input: a DFT-relaxed cell (GGA-PBE, OQMD).
Intensities are scaled so that the largest is 100.

Lattice parameters (Å, degrees): 4.3191 4.3191 10.4602 90.00 90.00 90.00
Element x y z (fractional)
1 Nd 0.0000 0.0000 0.0000
2 Gd 0.5000 0.5000 0.5118
3 Ag 0.0000 0.5000 0.7518
4 Ag 0.5000 0.0000 0.7518
5 Bi 0.0000 0.5000 0.2591
6 Bi 0.5000 0.0000 0.2591
7 As 0.0000 0.0000 0.5779
8 As 0.5000 0.5000 0.9265

Peak list (6 most intense, 15° ≤ 2θ ≤ 90°, sorted by position)
| 2θ (°) | d_spacing | I (rel.) |
| --- | --- | --- |
| 33.99 | 2.637 | 100 |
| 34.29 | 2.615 | 18 |
| 41.83 | 2.160 | 32 |
| 55.16 | 1.665 | 19 |
| 60.64 | 1.527 | 11 |
| 71.37 | 1.322 | 23 |

# AgAsC4S8N4F6
Theoretical powder diffractogram, Cu Kα, 1.54184 Å. Input: a DFT-relaxed cell (GGA-PBE, OQMD).
Intensities are scaled so that the largest is 100.

Lattice parameters (Å, degrees): 8.0488 8.0488 6.5233 90.00 90.00 90.00
Element x y z (fractional)
1 Ag 0.0000 0.0000 0.0000
2 As 0.5000 0.5000 0.0000
3 C 0.0986 0.7214 0.6610
4 C 0.2786 0.0986 0.3390
5 C 0.7214 0.9014 0.3390
6 C 0.9014 0.2786 0.6610
7 S 0.0356 0.6191 0.2493
8 S 0.2181 0.6384 0.4800
9 S 0.3616 0.2181 0.5200
10 S 0.3809 0.0356 0.7507
11 S 0.6191 0.9644 0.7507
12 S 0.6384 0.7819 0.5200
13 S 0.7819 0.3616 0.4800
14 S 0.9644 0.3809 0.2493
15 N 0.0190 0.7850 0.7898
16 N 0.2150 0.0190 0.2102
17 N 0.7850 0.9810 0.2102
18 N 0.9810 0.2150 0.7898
19 F 0.3086 0.3913 0.9995
20 F 0.3913 0.6914 0.0005
21 F 0.5000 0.5000 0.2727
22 F 0.5000 0.5000 0.7273
23 F 0.6087 0.3086 0.0005
24 F 0.6914 0.6087 0.9995

Peak list (6 most intense, 15° ≤ 2θ ≤ 90°, sorted by position)
| 2θ (°) | d_spacing | I (rel.) |
| --- | --- | --- |
| 15.57 | 5.691 | 35 |
| 20.71 | 4.289 | 100 |
| 26.02 | 3.425 | 64 |
| 28.32 | 3.152 | 40 |
| 31.62 | 2.830 | 38 |
| 37.20 | 2.417 | 30 |

# AgAsCl6
Theoretical powder diffractogram, Cu Kα, 1.54184 Å. Input: a DFT-relaxed cell (GGA-PBE, OQMD).
Intensities are scaled so that the largest is 100.

Lattice parameters (Å, degrees): 6.5476 6.5476 6.5476 60.00 60.00 60.00
Element x y z (fractional)
1 Ag 0.0000 0.0000 0.0000
2 As 0.7500 0.7500 0.7500
3 Cl 0.2584 0.2584 0.7416
4 Cl 0.2584 0.7416 0.2584
5 Cl 0.2584 0.7416 0.7416
6 Cl 0.7416 0.2584 0.2584
7 Cl 0.7416 0.2584 0.7416
8 Cl 0.7416 0.7416 0.2584

Peak list (6 most intense, 15° ≤ 2θ ≤ 90°, sorted by position)
| 2θ (°) | d_spacing | I (rel.) |
| --- | --- | --- |
| 16.58 | 5.346 | 100 |
| 19.17 | 4.630 | 42 |
| 27.24 | 3.274 | 39 |
| 32.06 | 2.792 | 72 |
| 38.90 | 2.315 | 86 |
| 56.19 | 1.637 | 53 |

# Ag5AsCl2O4
Theoretical powder diffractogram, Cu Kα, 1.54184 Å. Input: a DFT-relaxed cell (GGA-PBE, OQMD).
Intensities are scaled so that the largest is 100.

Lattice parameters (Å, degrees): 7.1116 5.8726 5.8726 120.34 90.00 90.00
Element x y z (fractional)
1 Ag 0.0000 0.0000 0.0000
2 Ag 0.2888 0.2023 0.5869
3 Ag 0.2888 0.5869 0.2023
4 Ag 0.7112 0.2023 0.5869
5 Ag 0.7112 0.5869 0.2023
6 As 0.5000 0.9828 0.9828
7 Cl 0.0000 0.4815 0.8109
8 Cl 0.0000 0.8109 0.4815
9 O 0.3036 0.1619 0.1619
10 O 0.5000 0.6715 0.9476
11 O 0.5000 0.9476 0.6715
12 O 0.6964 0.1619 0.1619

Peak list (6 most intense, 15° ≤ 2θ ≤ 90°, sorted by position)
| 2θ (°) | d_spacing | I (rel.) |
| --- | --- | --- |
| 17.45 | 5.083 | 25 |
| 30.44 | 2.936 | 100 |
| 30.64 | 2.918 | 83 |
| 30.71 | 2.911 | 61 |
| 43.87 | 2.064 | 45 |
| 54.22 | 1.692 | 41 |

# Cs3Ag2As4HO14
Theoretical powder diffractogram, Cu Kα, 1.54184 Å. Input: a DFT-relaxed cell (GGA-PBE, OQMD).
Intensities are scaled so that the largest is 100.

Lattice parameters (Å, degrees): 5.8215 6.0342 13.2992 91.88 100.71 117.62
Element x y z (fractional)
1 Cs 0.0000 0.0000 0.0000
2 Cs 0.2128 0.8657 0.5696
3 Cs 0.7872 0.1343 0.4304
4 Ag 0.0021 0.7258 0.2712
5 Ag 0.9979 0.2742 0.7288
6 As 0.3975 0.4417 0.3357
7 As 0.4428 0.7087 0.1422
8 As 0.5572 0.2913 0.8578
9 As 0.6025 0.5583 0.6643
10 H 0.5000 0.5000 0.0000
11 O 0.2247 0.1068 0.8069
12 O 0.2560 0.6164 0.3727
13 O 0.2613 0.3903 0.6238
14 O 0.2735 0.1549 0.3730
15 O 0.2762 0.8604 0.1713
16 O 0.3295 0.4152 0.1957
17 O 0.3742 0.6084 0.0127
18 O 0.6258 0.3916 0.9873
19 O 0.6705 0.5848 0.8043
20 O 0.7238 0.1396 0.8287
21 O 0.7265 0.8451 0.6270
22 O 0.7387 0.6097 0.3762
23 O 0.7440 0.3836 0.6273
24 O 0.7753 0.8932 0.1931

Peak list (6 most intense, 15° ≤ 2θ ≤ 90°, sorted by position)
| 2θ (°) | d_spacing | I (rel.) |
| --- | --- | --- |
| 23.11 | 3.849 | 100 |
| 28.51 | 3.131 | 96 |
| 29.24 | 3.054 | 92 |
| 30.06 | 2.973 | 56 |
| 30.35 | 2.945 | 54 |
| 30.74 | 2.908 | 99 |

# CsNa3Ag2As2
Theoretical powder diffractogram, Cu Kα, 1.54184 Å. Input: a DFT-relaxed cell (GGA-PBE, OQMD).
Intensities are scaled so that the largest is 100.

Lattice parameters (Å, degrees): 5.9972 5.7378 6.5853 90.00 104.18 90.00
Element x y z (fractional)
1 Cs 0.0000 0.0000 0.0000
2 Na 0.0742 0.5000 0.3954
3 Na 0.3673 0.0000 0.6627
4 Na 0.7054 0.5000 0.6703
5 Ag 0.5501 0.2547 0.1784
6 Ag 0.5501 0.7453 0.1784
7 As 0.3098 0.5000 0.8740
8 As 0.7860 0.0000 0.4730

Peak list (6 most intense, 15° ≤ 2θ ≤ 90°, sorted by position)
| 2θ (°) | d_spacing | I (rel.) |
| --- | --- | --- |
| 17.94 | 4.944 | 100 |
| 21.76 | 4.084 | 70 |
| 30.51 | 2.930 | 83 |
| 34.32 | 2.613 | 94 |
| 34.87 | 2.573 | 67 |
| 39.14 | 2.301 | 78 |

# Cs3NaAg2As2
Theoretical powder diffractogram, Cu Kα, 1.54184 Å. Input: a DFT-relaxed cell (GGA-PBE, OQMD).
Intensities are scaled so that the largest is 100.

Lattice parameters (Å, degrees): 6.7656 6.2110 6.9240 90.00 103.08 90.00
Element x y z (fractional)
1 Cs 0.0000 0.0000 0.0000
2 Cs 0.2952 0.5000 0.2838
3 Cs 0.6236 0.5000 0.9197
4 Na 0.2753 0.0000 0.5879
5 Ag 0.8311 0.2548 0.4866
6 Ag 0.8311 0.7452 0.4866
7 As 0.0889 0.5000 0.7167
8 As 0.5630 0.0000 0.2926

Peak list (6 most intense, 15° ≤ 2θ ≤ 90°, sorted by position)
| 2θ (°) | d_spacing | I (rel.) |
| --- | --- | --- |
| 25.37 | 3.511 | 100 |
| 26.83 | 3.322 | 88 |
| 30.51 | 2.930 | 62 |
| 30.93 | 2.891 | 85 |
| 31.72 | 2.821 | 47 |
| 35.79 | 2.509 | 49 |

# CsAg2AsO4
Theoretical powder diffractogram, Cu Kα, 1.54184 Å. Input: a DFT-relaxed cell (GGA-PBE, OQMD).
Intensities are scaled so that the largest is 100.

Lattice parameters (Å, degrees): 7.1781 7.1178 8.6662 53.00 52.37 74.63
Element x y z (fractional)
1 Cs 0.0000 0.0000 0.0000
2 Cs 0.2500 0.2500 0.2500
3 Ag 0.1301 0.6275 0.3990
4 Ag 0.4066 0.8510 0.6225
5 Ag 0.6275 0.1301 0.8434
6 Ag 0.8510 0.4066 0.1199
7 As 0.5004 0.5004 0.4996
8 As 0.7504 0.7504 0.7496
9 O 0.3667 0.3702 0.7976
10 O 0.3702 0.3667 0.4656
11 O 0.4524 0.7844 0.8833
12 O 0.4662 0.7980 0.3678
13 O 0.7844 0.4524 0.8798
14 O 0.7980 0.4662 0.3680
15 O 0.8820 0.8822 0.4520
16 O 0.8822 0.8820 0.7838

Peak list (6 most intense, 15° ≤ 2θ ≤ 90°, sorted by position)
| 2θ (°) | d_spacing | I (rel.) |
| --- | --- | --- |
| 28.29 | 3.155 | 100 |
| 28.98 | 3.081 | 38 |
| 29.32 | 3.046 | 37 |
| 40.97 | 2.203 | 36 |
| 41.16 | 2.193 | 33 |
| 41.69 | 2.166 | 34 |

# CsRbAgAs
Theoretical powder diffractogram, Cu Kα, 1.54184 Å. Input: a DFT-relaxed cell (GGA-PBE, OQMD).
Intensities are scaled so that the largest is 100.

Lattice parameters (Å, degrees): 6.4862 6.8203 6.8203 73.56 90.00 90.00
Element x y z (fractional)
1 Cs 0.2500 0.1457 0.8543
2 Cs 0.7500 0.8543 0.1457
3 Rb 0.2500 0.8060 0.5117
4 Rb 0.7500 0.5117 0.8060
5 Ag 0.0000 0.3281 0.3281
6 Ag 0.5000 0.3281 0.3281
7 As 0.2500 0.5759 0.0891
8 As 0.7500 0.0891 0.5759

Peak list (6 most intense, 15° ≤ 2θ ≤ 90°, sorted by position)
| 2θ (°) | d_spacing | I (rel.) |
| --- | --- | --- |
| 25.78 | 3.456 | 56 |
| 26.80 | 3.326 | 67 |
| 30.20 | 2.960 | 100 |
| 30.77 | 2.906 | 46 |
| 35.34 | 2.540 | 32 |
| 50.40 | 1.811 | 62 |